The following is a theoretical XRD peak list of UCd3O6. It was derived from a PBE-relaxed structure, using Cu Kα.
Lines closer than 0.1° are merged.

Structure:
Cell: 5.708 5.830 10.134 Å, 90.00 123.36 90.00°
Positions (direct):
U 0.000 0.000 0.000
U 0.000 0.500 0.500
Cd 0.251 0.042 0.752
Cd 0.251 0.458 0.252
Cd 0.500 0.000 0.500
Cd 0.500 0.500 0.000
Cd 0.749 0.542 0.748
Cd 0.749 0.958 0.248
O 0.084 0.201 0.423
O 0.084 0.299 0.923
O 0.246 0.673 0.441
O 0.246 0.827 0.941
O 0.357 0.084 0.235
O 0.357 0.416 0.735
O 0.643 0.584 0.265
O 0.643 0.916 0.765
O 0.754 0.173 0.059
O 0.754 0.327 0.559
O 0.916 0.701 0.077
O 0.916 0.799 0.577

Most intense lines, 2θ = 10–80°, by angle:
18.48°, intensity 12, (0 1 1)
21.79°, intensity 9, (1 1 -1)
30.26°, intensity 71, (1 1 1)
30.63°, intensity 100, (1 1 -3)
31.35°, intensity 32, (2 0 -2)
42.73°, intensity 17, (0 0 4)
44.43°, intensity 28, (2 2 -2)
53.50°, intensity 24, (2 0 2)
54.27°, intensity 13, (1 3 1)
54.49°, intensity 13, (1 3 -3)
54.90°, intensity 16, (3 1 -1)
55.56°, intensity 16, (3 1 -5)